Structure and theoretical X-ray powder pattern of Er3TePS (the GGA-PBE geometry in Alexandria; Cu Kα, 1.54184 Å).

```
Er3TePS
1.0
3.362 -7.097 0.000
3.362 7.097 0.000
-1.920 0.000 6.414
Er Te P S
6 2 2 2
Cartesian
-0.270 0.915 6.406
1.921 3.545 4.810
0.690 -0.915 3.199
4.112 0.915 3.215
2.881 -3.545 1.603
5.073 -0.915 0.008
2.881 3.537 1.603
1.921 -3.537 4.810
1.921 6.184 4.810
2.881 -6.184 1.603
1.921 0.861 4.810
2.881 -0.861 1.603
```

Largest 10 diffraction maxima, by angle, 10° ≤ 2θ ≤ 80°:
d_spacing  intensity
3.552  89
3.057  55
2.933  100
2.922  99
2.691  84
2.382  48
2.366  43
2.316  37
1.777  36
1.553  42